(1)
Structure and computed powder diffractogram of Nd2Ag2Pt15 (a crystal structure in Alexandria, relaxed with GGA-PBE; λ = 1.5418 Å (Cu Kα)).
Kinematic intensities with the Lorentz-polarization factor, no thermal factor.

The 10 most intense peaks (10° ≤ 2θ ≤ 90°), in order of falling intensity:
2θ = 38.9°, d 2.314, I 100
2θ = 43.6°, d 2.074, I 85
2θ = 40.2°, d 2.241, I 42
2θ = 38.5°, d 2.339, I 41
2θ = 19.0°, d 4.679, I 33
2θ = 69.6°, d 1.351, I 27
2θ = 83.6°, d 1.157, I 24
2θ = 33.2°, d 2.701, I 24
2θ = 63.1°, d 1.473, I 23
2θ = 44.8°, d 2.021, I 21

Cell lengths 7.020, 7.020, 7.020 Å; angles 83.60, 83.60, 83.60 degrees
Fractional coordinates of all 19 atoms:
Nd 0.155 0.155 0.155
Nd 0.845 0.845 0.845
Ag 0.400 0.400 0.400
Ag 0.600 0.600 0.600
Pt 0.000 0.500 0.500
Pt 0.156 0.156 0.663
Pt 0.156 0.663 0.156
Pt 0.184 0.500 0.816
Pt 0.184 0.816 0.500
Pt 0.337 0.844 0.844
Pt 0.500 0.000 0.500
Pt 0.500 0.184 0.816
Pt 0.500 0.500 0.000
Pt 0.500 0.816 0.184
Pt 0.663 0.156 0.156
Pt 0.816 0.184 0.500
Pt 0.816 0.500 0.184
Pt 0.844 0.337 0.844
Pt 0.844 0.844 0.337

***

(2)
Structure and computed powder diffractogram of Nd2Si4AgPt3 (a crystal structure in Alexandria, relaxed with GGA-PBE; λ = 1.5418 Å (Cu Kα)).
Kinematic intensities with the Lorentz-polarization factor, no thermal factor.

The 10 most intense peaks (10° ≤ 2θ ≤ 90°), in order of falling intensity:
2θ = 34.1°, d 2.628, I 100
2θ = 34.6°, d 2.590, I 95
2θ = 42.2°, d 2.143, I 84
2θ = 30.8°, d 2.900, I 83
2θ = 55.3°, d 1.661, I 51
2θ = 27.4°, d 3.252, I 44
2θ = 61.2°, d 1.515, I 28
2θ = 47.2°, d 1.926, I 26
2θ = 29.5°, d 3.031, I 25
2θ = 50.4°, d 1.810, I 25

Cell lengths 4.286, 4.286, 9.982 Å; angles 90.00, 90.00, 90.00 degrees
Fractional coordinates of all 10 atoms:
Nd 0.000 0.500 0.245
Nd 0.500 0.000 0.755
Si 0.000 0.000 0.000
Si 0.000 0.500 0.640
Si 0.500 0.000 0.360
Si 0.500 0.500 0.000
Ag 0.000 0.000 0.500
Pt 0.000 0.500 0.883
Pt 0.500 0.000 0.117
Pt 0.500 0.500 0.500

***

(3)
Structure and computed powder diffractogram of NdPuAg4 (a crystal structure in Alexandria, relaxed with GGA-PBE; λ = 1.5418 Å (Cu Kα)).
Kinematic intensities with the Lorentz-polarization factor, no thermal factor.

The 10 most intense peaks (10° ≤ 2θ ≤ 90°), in order of falling intensity:
2θ = 36.6°, d 2.455, I 100
2θ = 31.1°, d 2.879, I 45
2θ = 58.9°, d 1.567, I 33
2θ = 64.8°, d 1.439, I 25
2θ = 38.3°, d 2.350, I 25
2θ = 55.3°, d 1.662, I 18
2θ = 76.8°, d 1.242, I 11
2θ = 77.8°, d 1.227, I 9
2θ = 73.6°, d 1.287, I 8
2θ = 18.9°, d 4.701, I 4

Cell lengths 5.757, 5.757, 5.757 Å; angles 60.00, 60.00, 60.00 degrees
Fractional coordinates of all 6 atoms:
Nd 0.000 0.000 0.000
Pu 0.250 0.250 0.250
Ag 0.125 0.625 0.625
Ag 0.625 0.125 0.625
Ag 0.625 0.625 0.125
Ag 0.625 0.625 0.625

***

(4)
Structure and computed powder diffractogram of RbNdAgS2 (a crystal structure in Alexandria, relaxed with GGA-PBE; λ = 1.5418 Å (Cu Kα)).
Kinematic intensities with the Lorentz-polarization factor, no thermal factor.

The 10 most intense peaks (10° ≤ 2θ ≤ 90°), in order of falling intensity:
2θ = 11.7°, d 7.571, I 100
2θ = 29.2°, d 3.059, I 64
2θ = 32.2°, d 2.781, I 63
2θ = 23.5°, d 3.785, I 50
2θ = 42.8°, d 2.112, I 30
2θ = 37.0°, d 2.430, I 30
2θ = 34.5°, d 2.599, I 27
2θ = 28.3°, d 3.152, I 22
2θ = 39.6°, d 2.277, I 19
2θ = 24.7°, d 3.611, I 19

Cell lengths 7.681, 5.131, 8.107 Å; angles 90.00, 99.74, 90.00 degrees
Fractional coordinates of all 10 atoms:
Rb 0.000 0.141 0.250
Rb 0.000 0.859 0.750
Nd 0.500 0.493 0.750
Nd 0.500 0.507 0.250
Ag 0.500 0.000 0.000
Ag 0.500 0.000 0.500
S 0.265 0.357 0.964
S 0.265 0.643 0.464
S 0.735 0.357 0.536
S 0.735 0.643 0.036

***

(5)
Structure and computed powder diffractogram of Nd4AgRh (a crystal structure in Alexandria, relaxed with GGA-PBE; λ = 1.5418 Å (Cu Kα)).
Kinematic intensities with the Lorentz-polarization factor, no thermal factor.

The 10 most intense peaks (10° ≤ 2θ ≤ 90°), in order of falling intensity:
2θ = 35.4°, d 2.534, I 100
2θ = 30.3°, d 2.949, I 89
2θ = 30.8°, d 2.901, I 85
2θ = 33.3°, d 2.692, I 65
2θ = 34.2°, d 2.624, I 58
2θ = 29.6°, d 3.014, I 49
2θ = 34.9°, d 2.569, I 43
2θ = 34.7°, d 2.584, I 32
2θ = 39.0°, d 2.307, I 31
2θ = 12.8°, d 6.936, I 28

Cell lengths 8.252, 8.252, 6.210 Å; angles 103.84, 103.84, 114.69 degrees
Fractional coordinates of all 12 atoms:
Nd 0.069 0.698 0.920
Nd 0.211 0.352 0.674
Nd 0.302 0.931 0.580
Nd 0.352 0.211 0.174
Nd 0.648 0.789 0.826
Nd 0.698 0.069 0.420
Nd 0.789 0.648 0.326
Nd 0.931 0.302 0.080
Ag 0.379 0.621 0.250
Ag 0.621 0.379 0.750
Rh 0.003 0.997 0.750
Rh 0.997 0.003 0.250

***

(6)
Structure and computed powder diffractogram of Nd8Ag2Rh (a crystal structure in Alexandria, relaxed with GGA-PBE; λ = 1.5418 Å (Cu Kα)).
Kinematic intensities with the Lorentz-polarization factor, no thermal factor.

The 10 most intense peaks (10° ≤ 2θ ≤ 90°), in order of falling intensity:
2θ = 31.0°, d 2.884, I 100
2θ = 31.3°, d 2.858, I 83
2θ = 31.8°, d 2.812, I 49
2θ = 29.4°, d 3.037, I 41
2θ = 35.3°, d 2.540, I 33
2θ = 29.1°, d 3.071, I 31
2θ = 29.8°, d 2.998, I 31
2θ = 39.0°, d 2.312, I 30
2θ = 48.5°, d 1.876, I 30
2θ = 37.1°, d 2.421, I 24

Cell lengths 9.087, 9.087, 6.321 Å; angles 103.17, 103.17, 129.61 degrees
Fractional coordinates of all 11 atoms:
Nd 0.000 0.000 0.000
Nd 0.071 0.460 0.220
Nd 0.106 0.873 0.522
Nd 0.420 0.652 0.888
Nd 0.460 0.071 0.220
Nd 0.547 0.547 0.383
Nd 0.652 0.420 0.888
Nd 0.873 0.106 0.522
Ag 0.548 0.987 0.718
Ag 0.987 0.548 0.718
Rh 0.264 0.264 0.518

***

(7)
Structure and computed powder diffractogram of Nd5AgRh4 (a crystal structure in Alexandria, relaxed with GGA-PBE; λ = 1.5418 Å (Cu Kα)).
Kinematic intensities with the Lorentz-polarization factor, no thermal factor.

The 10 most intense peaks (10° ≤ 2θ ≤ 90°), in order of falling intensity:
2θ = 35.2°, d 2.547, I 100
2θ = 35.6°, d 2.521, I 52
2θ = 63.7°, d 1.460, I 35
2θ = 51.2°, d 1.783, I 18
2θ = 63.0°, d 1.475, I 14
2θ = 74.5°, d 1.273, I 9
2θ = 86.3°, d 1.128, I 8
2θ = 86.1°, d 1.130, I 8
2θ = 50.1°, d 1.819, I 7
2θ = 75.4°, d 1.261, I 6

Cell lengths 3.566, 3.566, 18.193 Å; angles 90.00, 90.00, 90.00 degrees
Fractional coordinates of all 10 atoms:
Nd 0.000 0.000 0.000
Nd 0.000 0.000 0.193
Nd 0.000 0.000 0.384
Nd 0.000 0.000 0.616
Nd 0.000 0.000 0.807
Ag 0.500 0.500 0.500
Rh 0.500 0.500 0.097
Rh 0.500 0.500 0.294
Rh 0.500 0.500 0.706
Rh 0.500 0.500 0.903

***

(8)
Structure and computed powder diffractogram of Nd6AgRh2 (a crystal structure in Alexandria, relaxed with GGA-PBE; λ = 1.5418 Å (Cu Kα)).
Kinematic intensities with the Lorentz-polarization factor, no thermal factor.

The 10 most intense peaks (10° ≤ 2θ ≤ 90°), in order of falling intensity:
2θ = 30.9°, d 2.896, I 100
2θ = 33.0°, d 2.711, I 95
2θ = 32.7°, d 2.741, I 73
2θ = 33.9°, d 2.646, I 64
2θ = 58.4°, d 1.579, I 52
2θ = 34.5°, d 2.599, I 37
2θ = 37.8°, d 2.381, I 32
2θ = 38.2°, d 2.354, I 27
2θ = 29.5°, d 3.025, I 27
2θ = 38.0°, d 2.368, I 26

Cell lengths 8.727, 8.727, 8.727 Å; angles 113.88, 110.06, 104.61 degrees
Fractional coordinates of all 18 atoms:
Nd 0.032 0.230 0.803
Nd 0.178 0.290 0.468
Nd 0.178 0.710 0.888
Nd 0.329 0.024 0.694
Nd 0.329 0.635 0.306
Nd 0.427 0.230 0.197
Nd 0.573 0.770 0.803
Nd 0.671 0.365 0.694
Nd 0.671 0.976 0.306
Nd 0.822 0.290 0.112
Nd 0.822 0.710 0.532
Nd 0.968 0.770 0.197
Ag 0.000 0.000 0.000
Ag 0.500 0.500 0.000
Rh 0.133 0.633 0.500
Rh 0.338 0.000 0.338
Rh 0.662 0.000 0.662
Rh 0.867 0.367 0.500

***

(9)
Structure and computed powder diffractogram of Nd12Ag6Rh (a crystal structure in Alexandria, relaxed with GGA-PBE; λ = 1.5418 Å (Cu Kα)).
Kinematic intensities with the Lorentz-polarization factor, no thermal factor.

The 10 most intense peaks (10° ≤ 2θ ≤ 90°), in order of falling intensity:
2θ = 31.4°, d 2.845, I 100
2θ = 35.7°, d 2.517, I 66
2θ = 27.6°, d 3.230, I 45
2θ = 33.5°, d 2.674, I 42
2θ = 34.8°, d 2.578, I 30
2θ = 40.3°, d 2.240, I 21
2θ = 58.6°, d 1.575, I 13
2θ = 29.5°, d 3.028, I 13
2θ = 48.8°, d 1.866, I 13
2θ = 23.4°, d 3.805, I 11

Cell lengths 8.329, 8.329, 8.329 Å; angles 93.27, 93.27, 93.27 degrees
Fractional coordinates of all 19 atoms:
Nd 0.042 0.935 0.696
Nd 0.065 0.304 0.958
Nd 0.179 0.405 0.532
Nd 0.304 0.958 0.065
Nd 0.405 0.532 0.179
Nd 0.468 0.821 0.595
Nd 0.532 0.179 0.405
Nd 0.595 0.468 0.821
Nd 0.696 0.042 0.935
Nd 0.821 0.595 0.468
Nd 0.935 0.696 0.042
Nd 0.958 0.065 0.304
Ag 0.161 0.760 0.361
Ag 0.240 0.639 0.839
Ag 0.361 0.161 0.760
Ag 0.639 0.839 0.240
Ag 0.760 0.361 0.161
Ag 0.839 0.240 0.639
Rh 0.500 0.500 0.500

***

(10)
Structure and computed powder diffractogram of Nd2AgSb4Rh3 (a crystal structure in Alexandria, relaxed with GGA-PBE; λ = 1.5418 Å (Cu Kα)).
Kinematic intensities with the Lorentz-polarization factor, no thermal factor.

The 10 most intense peaks (10° ≤ 2θ ≤ 90°), in order of falling intensity:
2θ = 32.3°, d 2.769, I 100
2θ = 39.3°, d 2.294, I 70
2θ = 31.9°, d 2.805, I 57
2θ = 51.5°, d 1.776, I 30
2θ = 44.0°, d 2.057, I 26
2θ = 56.8°, d 1.622, I 24
2θ = 66.9°, d 1.400, I 24
2θ = 47.1°, d 1.930, I 23
2θ = 62.9°, d 1.477, I 20
2θ = 84.2°, d 1.150, I 14

Cell lengths 4.587, 4.587, 10.638 Å; angles 90.00, 90.00, 90.00 degrees
Fractional coordinates of all 10 atoms:
Nd 0.000 0.500 0.250
Nd 0.500 0.000 0.750
Ag 0.000 0.000 0.500
Sb 0.000 0.000 0.000
Sb 0.000 0.500 0.639
Sb 0.500 0.000 0.361
Sb 0.500 0.500 0.000
Rh 0.000 0.500 0.881
Rh 0.500 0.000 0.119
Rh 0.500 0.500 0.500

***

(11)
Structure and computed powder diffractogram of Nd2AgSn3Rh4 (a crystal structure in Alexandria, relaxed with GGA-PBE; λ = 1.5418 Å (Cu Kα)).
Kinematic intensities with the Lorentz-polarization factor, no thermal factor.

The 10 most intense peaks (10° ≤ 2θ ≤ 90°), in order of falling intensity:
2θ = 33.4°, d 2.682, I 100
2θ = 42.4°, d 2.134, I 57
2θ = 31.0°, d 2.880, I 48
2θ = 44.1°, d 2.053, I 32
2θ = 43.0°, d 2.101, I 26
2θ = 62.8°, d 1.480, I 22
2θ = 71.8°, d 1.315, I 21
2θ = 53.4°, d 1.715, I 21
2θ = 61.5°, d 1.509, I 19
2θ = 79.4°, d 1.207, I 13

Cell lengths 4.268, 4.268, 11.711 Å; angles 90.00, 90.00, 90.00 degrees
Fractional coordinates of all 10 atoms:
Nd 0.000 0.500 0.238
Nd 0.500 0.000 0.762
Ag 0.500 0.500 0.000
Sn 0.000 0.000 0.000
Sn 0.000 0.500 0.629
Sn 0.500 0.000 0.371
Rh 0.000 0.000 0.500
Rh 0.000 0.500 0.851
Rh 0.500 0.000 0.149
Rh 0.500 0.500 0.500

***

(12)
Structure and computed powder diffractogram of Nd5Ag2Ru2 (a crystal structure in Alexandria, relaxed with GGA-PBE; λ = 1.5418 Å (Cu Kα)).
Kinematic intensities with the Lorentz-polarization factor, no thermal factor.

The 10 most intense peaks (10° ≤ 2θ ≤ 90°), in order of falling intensity:
2θ = 32.9°, d 2.721, I 100
2θ = 30.2°, d 2.961, I 75
2θ = 30.9°, d 2.896, I 68
2θ = 33.1°, d 2.709, I 62
2θ = 36.7°, d 2.446, I 47
2θ = 38.8°, d 2.320, I 35
2θ = 36.1°, d 2.489, I 29
2θ = 26.6°, d 3.347, I 28
2θ = 35.0°, d 2.560, I 24
2θ = 39.9°, d 2.257, I 21

Cell lengths 10.925, 10.925, 10.925 Å; angles 53.98, 145.11, 140.16 degrees
Fractional coordinates of all 18 atoms:
Nd 0.128 0.024 0.605
Nd 0.160 0.077 0.237
Nd 0.160 0.423 0.583
Nd 0.419 0.524 0.395
Nd 0.483 0.804 0.003
Nd 0.483 0.980 0.179
Nd 0.800 0.304 0.821
Nd 0.800 0.480 0.997
Nd 0.840 0.577 0.417
Nd 0.840 0.923 0.763
Ag 0.226 0.406 0.933
Ag 0.226 0.793 0.320
Ag 0.473 0.293 0.067
Ag 0.473 0.906 0.680
Ru 0.714 0.214 0.500
Ru 0.714 0.714 0.000
Ru 0.905 0.188 0.217
Ru 0.972 0.688 0.783

***

(13)
Structure and computed powder diffractogram of NdAgS2 (a crystal structure in Alexandria, relaxed with GGA-PBE; λ = 1.5418 Å (Cu Kα)).
Kinematic intensities with the Lorentz-polarization factor, no thermal factor.

The 10 most intense peaks (10° ≤ 2θ ≤ 90°), in order of falling intensity:
2θ = 27.8°, d 3.209, I 100
2θ = 36.1°, d 2.485, I 82
2θ = 36.6°, d 2.455, I 82
2θ = 29.4°, d 3.040, I 82
2θ = 46.2°, d 1.966, I 81
2θ = 33.8°, d 2.650, I 77
2θ = 26.1°, d 3.411, I 69
2θ = 30.9°, d 2.897, I 68
2θ = 26.0°, d 3.431, I 66
2θ = 36.3°, d 2.478, I 66

Cell lengths 6.971, 7.209, 7.199 Å; angles 90.00, 101.84, 90.00 degrees
Fractional coordinates of all 16 atoms:
Nd 0.202 0.055 0.298
Nd 0.202 0.445 0.798
Nd 0.798 0.555 0.202
Nd 0.798 0.945 0.702
Ag 0.320 0.583 0.361
Ag 0.320 0.917 0.861
Ag 0.680 0.083 0.139
Ag 0.680 0.417 0.639
S 0.069 0.738 0.510
S 0.069 0.762 0.010
S 0.427 0.158 0.665
S 0.427 0.342 0.165
S 0.573 0.658 0.835
S 0.573 0.842 0.335
S 0.931 0.238 0.990
S 0.931 0.262 0.490